# CaZnFeAs2O10
Theoretical powder XRD pattern, a wavelength of 1.5418 Å. Input: a cell relaxed with GGA+U.
Intensities are scaled so that the largest is 100.

Atomic structure:
abc: 5.269 5.327 7.608
angles: 73.84 74.11 76.84
Space group P-1 (No. 2)
Asymmetric unit:
Ca 0.000 0.000 0.000
Zn 0.000 0.500 0.500
Fe 0.500 0.000 0.500
As 0.440 0.421 0.784
O 0.085 0.084 0.455
O 0.218 0.666 0.250
O 0.277 0.274 0.996
O 0.340 0.310 0.617
O 0.351 0.765 0.742

Peak list (8 most intense, 2θ from 10° to 80°, sorted by position)
- 12.43°, 7.120 Å, intensity 36, (0 0 1)
- 27.11°, 3.289 Å, intensity 46, (0 1 2)
- 27.34°, 3.262 Å, intensity 100, (1 1 2)
- 29.87°, 2.991 Å, intensity 92, (1 1 -1)
- 34.03°, 2.635 Å, intensity 36, (1 0 -2)
- 34.87°, 2.573 Å, intensity 36, (0 2 1)
- 35.29°, 2.543 Å, intensity 45, (2 0 1)
- 55.88°, 1.645 Å, intensity 32, (2 -2 0)